Record 1
PrSmHg6: calculated XRD peak list (Cu Kα (weighted mean of Kα1 and Kα2)), based on a structure optimized by DFT (GGA-PBE).
Neutral-atom scattering factors, no anomalous dispersion.

Structure:
```
PrSmHg6
1.0
6.7399 0.0000 0.0000
-3.3699 5.8369 0.0000
0.0000 0.0000 5.0412
Pr Sm Hg
1 1 6
Direct
0.0000 0.0000 0.0000
0.3333 0.6667 0.5000
0.3406 0.1703 0.5000
0.5020 0.0039 0.0000
0.5020 0.4980 0.0000
0.8297 0.1703 0.5000
0.8297 0.6594 0.5000
0.9961 0.4980 0.0000
```

Most intense lines, 10 to 90 degrees two-theta, sorted by position:
2θ/deg, intensity
30.63, 20
35.56, 100
47.67, 12
54.46, 16
63.78, 3
63.93, 15
66.76, 31
75.24, 3
75.42, 2
83.56, 2
88.68, 2
88.81, 7



Record 2
ScCdBi2: calculated XRD peak list (Cu Kα (weighted mean of Kα1 and Kα2)), based on a structure optimized by DFT (GGA-PBE).
Neutral-atom scattering factors, no anomalous dispersion.

Structure:
```
ScCdBi2
1.0
0.0000 3.8030 3.8030
3.8030 0.0000 3.8030
3.8030 3.8030 0.0000
Sc Cd Bi
1 1 2
Direct
0.0000 0.0000 0.0000
0.2500 0.2500 0.2500
0.5000 0.5000 0.5000
0.7500 0.7500 0.7500
```

Most intense lines, 10 to 90 degrees two-theta, sorted by position:
2θ/deg, intensity
20.22, 23
33.32, 100
39.29, 14
47.84, 18
52.44, 6
59.54, 38
63.56, 5
69.97, 12
73.69, 5
79.74, 17
83.31, 2
89.21, 4



Record 3
Er2Tm2GaNi2Ge4: calculated XRD peak list (Cu Kα (weighted mean of Kα1 and Kα2)), based on a structure optimized by DFT (GGA-PBE).
Neutral-atom scattering factors, no anomalous dispersion.

Structure:
```
Er2Tm2GaNi2Ge4
1.0
7.6008 -2.0884 0.0000
7.6008 2.0884 0.0000
-2.1832 0.0000 6.5400
Er Tm Ga Ni Ge
2 2 1 2 4
Direct
0.0907 0.0907 0.3884
0.9093 0.9093 0.6116
0.1549 0.1549 0.9377
0.8451 0.8451 0.0623
0.5000 0.5000 0.0000
0.2823 0.2823 0.3590
0.7177 0.7177 0.6410
0.2978 0.2978 0.7333
0.4344 0.4344 0.3349
0.5656 0.5656 0.6651
0.7022 0.7022 0.2667
```

Most intense lines, 10 to 90 degrees two-theta, sorted by position:
2θ/deg, intensity
28.31, 23
34.04, 75
35.20, 100
35.48, 30
36.77, 48
36.96, 69
37.91, 33
38.85, 22
41.42, 21
43.32, 55
57.20, 27
59.13, 24



Record 4
Co17Pb: calculated XRD peak list (Cu Kα (weighted mean of Kα1 and Kα2)), based on a structure optimized by DFT (GGA-PBE).
Neutral-atom scattering factors, no anomalous dispersion.

Structure:
```
Co17Pb
1.0
4.2764 0.0000 0.0000
0.0000 4.9277 0.0000
-0.0109 0.0000 31.3263
Co Pb
34 2
Direct
0.0000 0.0000 0.0000
0.0000 0.5000 0.0000
0.0005 0.0028 0.8062
0.0005 0.4972 0.8062
0.1643 0.2500 0.1296
0.1663 0.2500 0.9357
0.1660 0.7500 0.7443
0.1667 0.7500 0.9354
0.1707 0.7500 0.1288
0.3324 0.0043 0.2562
0.3324 0.4957 0.2562
0.3335 0.0000 0.0645
0.3333 0.0007 0.8715
0.3333 0.4993 0.8715
0.3335 0.5000 0.0645
0.4980 0.7500 0.8067
0.4993 0.2500 0.8061
0.4998 0.2500 0.9999
0.5002 0.7500 0.0001
0.5007 0.7500 0.1939
0.5020 0.2500 0.1933
0.6665 0.0000 0.9355
0.6665 0.5000 0.9355
0.6667 0.5007 0.1285
0.6667 0.9993 0.1285
0.6676 0.5043 0.7438
0.6676 0.9957 0.7438
0.8293 0.2500 0.8712
0.8333 0.2500 0.0646
0.8340 0.2500 0.2557
0.8337 0.7500 0.0643
0.8357 0.7500 0.8704
0.9995 0.5028 0.1938
0.9995 0.9972 0.1938
0.1673 0.2500 0.7073
0.8327 0.7500 0.2927
```

Most intense lines, 10 to 90 degrees two-theta, sorted by position:
2θ/deg, intensity
11.30, 25
42.42, 12
43.33, 16
43.94, 30
44.83, 100
45.91, 24
46.37, 17
50.11, 16
51.80, 43
53.64, 19
77.35, 17
78.15, 15



Record 5
TaNbS4: calculated XRD peak list (Cu Kα (weighted mean of Kα1 and Kα2)), based on a structure optimized by DFT (GGA-PBE).
Neutral-atom scattering factors, no anomalous dispersion.

Structure:
```
TaNbS4
1.0
1.6706 -10.9198 0.0000
1.6706 10.9198 0.0000
0.0000 0.0000 5.8027
Ta Nb S
1 1 4
Direct
0.0000 0.0000 0.0000
0.5000 0.5000 0.5077
0.0721 0.9279 0.6732
0.4289 0.5711 0.1687
0.5711 0.4289 0.1687
0.9279 0.0721 0.6732
```

Most intense lines, 10 to 90 degrees two-theta, sorted by position:
2θ/deg, intensity
16.23, 100
31.16, 81
31.92, 39
33.30, 81
35.02, 44
37.26, 91
39.73, 44
42.60, 75
45.63, 29
48.98, 41
55.01, 53
56.40, 24



Record 6
Na2Gd3Te4Cl3O12: calculated XRD peak list (Cu Kα (weighted mean of Kα1 and Kα2)), based on a structure optimized by DFT (GGA-PBE).
Neutral-atom scattering factors, no anomalous dispersion.

Structure:
```
Na2Gd3Te4Cl3O12
1.0
11.8651 -2.7815 0.0000
11.8651 2.7815 0.0000
-11.6995 0.0000 11.9400
Na Gd Te Cl O
4 6 8 6 24
Direct
0.0530 0.6150 0.9290
0.3850 0.9470 0.5710
0.6150 0.0530 0.4290
0.9470 0.3850 0.0710
0.2481 0.7492 0.9144
0.2512 0.7488 0.2500
0.2508 0.7519 0.5856
0.7492 0.2481 0.4144
0.7488 0.2512 0.7500
0.7519 0.2508 0.0856
0.0671 0.6594 0.2998
0.1628 0.5584 0.5920
0.3406 0.9329 0.2002
0.4416 0.8372 0.9080
0.5584 0.1628 0.0920
0.6594 0.0671 0.7998
0.8372 0.4416 0.4080
0.9329 0.3406 0.7002
0.0000 0.5000 0.0000
0.0024 0.4972 0.6679
0.4972 0.0024 0.1679
0.5000 0.0000 0.5000
0.5028 0.9976 0.8321
0.9976 0.5028 0.3321
0.0102 0.8517 0.2863
0.0279 0.1254 0.3892
0.0696 0.1038 0.0785
0.1038 0.0696 0.5785
0.1254 0.0279 0.8892
0.1483 0.9898 0.2137
0.3520 0.4996 0.7401
0.3768 0.4788 0.4074
0.3947 0.4302 0.0713
0.4302 0.3947 0.5713
0.4788 0.3768 0.9074
0.4996 0.3520 0.2401
0.5004 0.6480 0.7599
0.5212 0.6232 0.0926
0.5698 0.6053 0.4287
0.6053 0.5698 0.9287
0.6232 0.5212 0.5926
0.6480 0.5004 0.2599
0.8517 0.0102 0.7863
0.8746 0.9721 0.1108
0.8962 0.9304 0.4215
0.9304 0.8962 0.9215
0.9721 0.8746 0.6108
0.9898 0.1483 0.7137
```

Most intense lines, 10 to 90 degrees two-theta, sorted by position:
2θ/deg, intensity
10.44, 78
19.83, 32
24.89, 34
24.98, 33
30.93, 100
31.08, 97
32.16, 61
42.66, 19
45.78, 17
46.12, 34
54.44, 18
56.64, 24